Diffraction record for InGa4Cu15. The powder XRD pattern is theoretical, not measured: it uses DFT lattice parameters and positions (GGA-PBE) and Cu Kα X-rays.

Largest 9 diffraction maxima, sorted by position, 5 to 70 degrees two-theta:
(0 0 5), 23.83°, I = 1; (1 0 5), 33.96°, I = 1; (1 1 4), 39.22°, I = 1; (1 1 5), 41.92°, I = 100; (0 0 9), 43.54°, I = 1; (1 1 6), 45.03°, I = 1; (0 0 10), 48.68°, I = 15; (2 0 0), 48.85°, I = 32; (2 0 9), 67.49°, I = 1

Crystal structure
```
InGa4Cu15
1.0
3.7289 0.0000 0.0000
0.0000 3.7289 0.0000
0.0000 0.0000 18.7064
In Ga Cu
1 4 15
direct
0.0000 0.0000 0.0000
0.0000 0.0000 0.2055
0.0000 0.0000 0.4024
0.0000 0.0000 0.5976
0.0000 0.0000 0.7945
0.0000 0.5000 0.1084
0.0000 0.5000 0.3043
0.0000 0.5000 0.5000
0.0000 0.5000 0.6957
0.0000 0.5000 0.8916
0.5000 0.0000 0.1084
0.5000 0.0000 0.3043
0.5000 0.0000 0.5000
0.5000 0.0000 0.6957
0.5000 0.0000 0.8916
0.5000 0.5000 0.0000
0.5000 0.5000 0.2068
0.5000 0.5000 0.4022
0.5000 0.5000 0.5978
0.5000 0.5000 0.7932
```